Starting from a PBE-relaxed structure, the powder diffractogram of KBiN was calculated for a wavelength of 1.5418 Å.
Neutral-atom scattering factors, no anomalous dispersion.

The 10 most intense peaks (10° ≤ 2θ ≤ 90°), in order of falling intensity:
- 2θ = 27.70°, I 1000, hkl -1 1 1
- 2θ = 17.47°, I 861, hkl 0 0 2
- 2θ = 26.30°, I 765, hkl 0 0 3
- 2θ = 30.82°, I 435, hkl 1 1 1
- 2θ = 31.80°, I 397, hkl 1 -1 2
- 2θ = 31.63°, I 387, hkl -1 1 2
- 2θ = 34.12°, I 346, hkl 1 1 -3
- 2θ = 29.52°, I 333, hkl 1 1 -2
- 2θ = 35.36°, I 293, hkl 0 0 4
- 2θ = 27.20°, I 292, hkl 1 1 -1

Structure:
```
data_KBiN
_cell_length_a 4.592
_cell_length_b 4.887
_cell_length_c 10.388
_cell_angle_alpha 98.52
_cell_angle_beta 98.41
_cell_angle_gamma 91.64
_space_group_name_H-M_alt 'P -1'
_space_group_IT_number 2
_space_group_name_Hall '-P 1'
loop_
_atom_site_label
_atom_site_type_symbol
_atom_site_fract_x
_atom_site_fract_y
_atom_site_fract_z
K1 K 0.139 0.118 0.223
Bi1 Bi 0.260 0.711 0.495
N1 N 0.390 0.978 0.964
```

---

Starting from a PBE-relaxed structure, the powder diffractogram of Li3InBi3Se8 was calculated for a wavelength of 1.5418 Å.
Neutral-atom scattering factors, no anomalous dispersion.

The 10 most intense peaks (10° ≤ 2θ ≤ 90°), in order of falling intensity:
- 2θ = 31.08°, I 1000, hkl 0 2 4
- 2θ = 13.43°, I 581, hkl 0 0 3
- 2θ = 25.57°, I 468, hkl 0 2 1
- 2θ = 44.34°, I 372, hkl 2 2 0
- 2θ = 44.72°, I 364, hkl 2 0 8
- 2θ = 34.00°, I 244, hkl 2 0 5
- 2θ = 55.13°, I 193, hkl 4 0 4
- 2θ = 46.54°, I 169, hkl 2 2 3
- 2θ = 73.32°, I 164, hkl 2 4 4
- 2θ = 73.89°, I 161, hkl 2 2 12

Structure:
```
data_Li3InBi3Se8
_cell_length_a 8.1727
_cell_length_b 8.1727
_cell_length_c 19.7734
_cell_angle_alpha 90.00
_cell_angle_beta 90.00
_cell_angle_gamma 120.00
_space_group_name_H-M_alt 'R -3 m'
_space_group_IT_number 166
_space_group_name_Hall '-R 3 2"'
loop_
_atom_site_label
_atom_site_type_symbol
_atom_site_fract_x
_atom_site_fract_y
_atom_site_fract_z
Li1 Li 0.0000 0.5000 0.0000
In1 In 0.0000 0.0000 0.5000
Bi1 Bi 0.0000 0.5000 0.5000
Se1 Se 0.0000 0.0000 0.2562
Se2 Se 0.0170 0.5085 0.2511
```

---

Starting from a PBE-relaxed structure, the powder diffractogram of Sm8GaBi2 was calculated for a wavelength of 1.5418 Å.
Neutral-atom scattering factors, no anomalous dispersion.

The 10 most intense peaks (10° ≤ 2θ ≤ 90°), in order of falling intensity:
- 2θ = 30.30°, I 1000, hkl 1 1 -2
- 2θ = 29.57°, I 487, hkl 5 1 0
- 2θ = 36.30°, I 379, hkl 0 2 0
- 2θ = 32.99°, I 309, hkl 5 1 1
- 2θ = 32.36°, I 235, hkl 4 0 2
- 2θ = 29.46°, I 152, hkl 6 0 -1
- 2θ = 35.41°, I 147, hkl 6 0 -2
- 2θ = 61.62°, I 134, hkl 1 3 -2
- 2θ = 51.59°, I 129, hkl 6 2 -2
- 2θ = 38.61°, I 129, hkl 7 1 -1

Structure:
```
data_Sm8GaBi2
_cell_length_a 19.166
_cell_length_b 4.950
_cell_length_c 7.374
_cell_angle_alpha 90.00
_cell_angle_beta 95.95
_cell_angle_gamma 90.00
_space_group_name_H-M_alt 'C 1 2/m 1'
_space_group_IT_number 12
_space_group_name_Hall '-C 2y'
loop_
_atom_site_label
_atom_site_type_symbol
_atom_site_fract_x
_atom_site_fract_y
_atom_site_fract_z
Sm1 Sm 0.002 0.000 0.268
Sm2 Sm 0.094 0.500 0.009
Sm3 Sm 0.156 0.500 0.547
Sm4 Sm 0.216 0.000 0.857
Ga1 Ga 0.000 0.500 0.500
Bi1 Bi 0.177 0.000 0.283
```